[1]
The following is a computed powder X-ray diffraction pattern of Mn3O4. It was derived from a crystal structure in the Materials Project, relaxed with GGA+U, using Cu Kα.
Intensities are scaled so that the largest is 100.

Cell: 2.9981 10.4671 14.6305 Å, 90.00 90.00 90.00°
Space group Pbcm (No. 57)
Symmetry-distinct sites (fractional):
Mn: 0.1776 0.2329 0.2500
Mn: 0.2505 0.1171 0.0289
O: 0.2493 0.5250 0.0807
O: 0.2486 0.7500 0.0000
O: 0.3230 0.6692 0.7500

Peak list (12 most intense, 2θ from 10° to 90°, in order of rising 2θ)
| d_spacing | 2θ/deg | Rel. int. | hkl |
| --- | --- | --- | --- |
| 7.315 | 12.1 | 95 | 0 0 2 |
| 4.256 | 20.9 | 64 | 0 2 2 |
| 3.658 | 24.3 | 100 | 0 0 4 |
| 3.568 | 25.0 | 38 | 0 2 3 |
| 2.998 | 29.8 | 36 | 0 2 4 |
| 2.882 | 31.0 | 33 | 1 1 0 |
| 2.554 | 35.1 | 25 | 0 2 5 |
| 2.464 | 36.5 | 35 | 0 4 2 |
| 2.264 | 39.8 | 26 | 1 1 4 |
| 2.171 | 41.6 | 69 | 1 3 2 |
| 1.671 | 54.9 | 26 | 1 5 2 |
| 1.663 | 55.2 | 19 | 1 3 6 |

[2]
The following is a computed powder X-ray diffraction pattern of SrMoO3. It was derived from a crystal structure in the Materials Project, relaxed with GGA+U, using Cu Kα.
Intensities are scaled so that the largest is 100.

Cell: 4.0806 4.0806 4.0806 Å, 90.00 90.00 90.00°
Space group Pm-3m (No. 221)
Symmetry-distinct sites (fractional):
Sr: 0.0000 0.0000 0.0000
Mo: 0.5000 0.5000 0.5000
O: 0.0000 0.5000 0.5000

Peak list (10 most intense, 2θ from 10° to 90°, in order of rising 2θ)
| d_spacing | 2θ/deg | Rel. int. | hkl |
| --- | --- | --- | --- |
| 4.081 | 21.8 | 4 | 1 0 0 |
| 2.885 | 31.0 | 100 | 1 1 0 |
| 2.356 | 38.2 | 2 | 1 1 1 |
| 2.040 | 44.4 | 34 | 2 0 0 |
| 1.825 | 50.0 | 1 | 2 1 0 |
| 1.666 | 55.1 | 39 | 2 1 1 |
| 1.443 | 64.6 | 21 | 2 2 0 |
| 1.290 | 73.4 | 17 | 3 1 0 |
| 1.178 | 81.8 | 7 | 2 2 2 |
| 1.091 | 90.0 | 22 | 3 2 1 |

[3]
The following is a computed powder X-ray diffraction pattern of Li3Mn2FeB3O9. It was derived from a crystal structure in the Materials Project, relaxed with GGA+U, using Cu Kα.
Intensities are scaled so that the largest is 100.

Cell: 8.2709 3.1734 14.3246 Å, 90.00 90.16 90.00°
Space group Pm (No. 6)
Symmetry-distinct sites (fractional):
Li: 0.0000 0.0000 0.0000
Li: 0.0263 0.0000 0.7064
Li: 0.0751 0.0000 0.3393
Li: 0.5029 0.0000 0.4984
Li: 0.5296 0.0000 0.2071
Li: 0.5757 0.0000 0.8410
Mn: 0.1766 0.5000 0.5280
Mn: 0.1942 0.5000 0.1628
Mn: 0.2342 0.5000 0.8545
Mn: 0.6938 0.5000 0.6624
Fe: 0.6807 0.5000 0.0280
Fe: 0.7308 0.5000 0.3522
B: 0.3679 0.0000 0.6818
B: 0.3702 0.0000 0.0159
B: 0.3695 0.5000 0.3493
B: 0.8659 0.0000 0.1818
B: 0.8660 0.5000 0.8490
B: 0.8674 0.0000 0.5134
O: 0.0031 0.5000 0.7925
O: 0.0174 0.0000 0.1401
O: 0.0207 0.0000 0.4732
O: 0.2158 0.5000 0.3089
O: 0.2270 0.0000 0.6287
O: 0.2314 0.0000 0.9600
O: 0.3542 0.0000 0.1128
O: 0.3584 0.0000 0.7788
O: 0.3865 0.5000 0.4459
O: 0.5071 0.5000 0.2930
O: 0.5177 0.0000 0.6383
O: 0.5230 0.0000 0.9756
O: 0.7127 0.5000 0.8089
O: 0.7273 0.0000 0.1264
O: 0.7306 0.0000 0.4568
O: 0.8533 0.0000 0.2788
O: 0.8528 0.0000 0.6105
O: 0.8818 0.5000 0.9462

Peak list (12 most intense, 2θ from 10° to 90°, in order of rising 2θ)
| d_spacing | 2θ/deg | Rel. int. | hkl |
| --- | --- | --- | --- |
| 4.135 | 21.5 | 100 | 2 0 0 |
| 2.901 | 30.8 | 17 | 1 1 1 |
| 2.707 | 33.1 | 17 | 2 0 -4 |
| 2.518 | 35.7 | 80 | 2 1 0 |
| 2.387 | 37.7 | 32 | 0 0 6 |
| 2.375 | 37.9 | 10 | 0 1 4 |
| 2.069 | 43.8 | 10 | 4 0 0 |
| 1.908 | 47.7 | 28 | 0 1 6 |
| 1.732 | 52.8 | 25 | 4 1 0 |
| 1.684 | 54.5 | 14 | 1 1 -7 |
| 1.587 | 58.1 | 11 | 0 2 0 |
| 1.481 | 62.7 | 9 | 2 2 0 |

[4]
The following is a computed powder X-ray diffraction pattern of MgMoO3. It was derived from a crystal structure in the Materials Project, relaxed with GGA+U, using Cu Kα.
Intensities are scaled so that the largest is 100.

Cell: 4.0025 4.0025 4.0025 Å, 90.00 90.00 90.00°
Space group Pm-3m (No. 221)
Symmetry-distinct sites (fractional):
Mg: 0.0000 0.0000 0.0000
Mo: 0.5000 0.5000 0.5000
O: 0.0000 0.5000 0.5000

Peak list (12 most intense, 2θ from 10° to 90°, in order of rising 2θ)
| d_spacing | 2θ/deg | Rel. int. | hkl |
| --- | --- | --- | --- |
| 4.002 | 22.2 | 88 | 1 0 0 |
| 2.830 | 31.6 | 100 | 1 1 0 |
| 2.311 | 39.0 | 2 | 1 1 1 |
| 2.001 | 45.3 | 45 | 2 0 0 |
| 1.790 | 51.0 | 33 | 2 1 0 |
| 1.634 | 56.3 | 39 | 2 1 1 |
| 1.415 | 66.0 | 26 | 2 2 0 |
| 1.334 | 70.6 | 15 | 3 0 0 |
| 1.266 | 75.0 | 17 | 3 1 0 |
| 1.207 | 79.4 | 2 | 3 1 1 |
| 1.155 | 83.7 | 9 | 2 2 2 |
| 1.110 | 88.0 | 7 | 3 2 0 |

[5]
The following is a computed powder X-ray diffraction pattern of Cs2KMnF6. It was derived from a crystal structure in the Materials Project, relaxed with GGA+U, using Cu Kα.
Intensities are scaled so that the largest is 100.

Cell: 6.4221 6.4221 9.5058 Å, 90.00 90.00 90.00°
Space group I4/mmm (No. 139)
Symmetry-distinct sites (fractional):
Cs: 0.0000 0.5000 0.2500
K: 0.0000 0.0000 0.0000
Mn: 0.0000 0.0000 0.5000
F: 0.0000 0.0000 0.2745
F: 0.2104 0.2104 0.5000

Peak list (12 most intense, 2θ from 10° to 90°, in order of rising 2θ)
| d_spacing | 2θ/deg | Rel. int. | hkl |
| --- | --- | --- | --- |
| 4.541 | 19.5 | 13 | 1 1 0 |
| 3.283 | 27.2 | 100 | 1 1 2 |
| 3.211 | 27.8 | 48 | 2 0 0 |
| 2.661 | 33.7 | 39 | 2 0 2 |
| 2.376 | 37.9 | 21 | 0 0 4 |
| 2.271 | 39.7 | 35 | 2 2 0 |
| 1.910 | 47.6 | 20 | 2 0 4 |
| 1.868 | 48.8 | 35 | 3 1 2 |
| 1.642 | 56.0 | 23 | 2 2 4 |
| 1.249 | 76.2 | 10 | 3 1 6 |
| 1.229 | 77.7 | 11 | 4 2 4 |
| 1.217 | 78.6 | 10 | 5 1 2 |

Copy entry 5 word for word.
The following is a computed powder X-ray diffraction pattern of Cs2KMnF6. It was derived from a crystal structure in the Materials Project, relaxed with GGA+U, using Cu Kα.
Intensities are scaled so that the largest is 100.

Cell: 6.4221 6.4221 9.5058 Å, 90.00 90.00 90.00°
Space group I4/mmm (No. 139)
Symmetry-distinct sites (fractional):
Cs: 0.0000 0.5000 0.2500
K: 0.0000 0.0000 0.0000
Mn: 0.0000 0.0000 0.5000
F: 0.0000 0.0000 0.2745
F: 0.2104 0.2104 0.5000

Peak list (12 most intense, 2θ from 10° to 90°, in order of rising 2θ)
| d_spacing | 2θ/deg | Rel. int. | hkl |
| --- | --- | --- | --- |
| 4.541 | 19.5 | 13 | 1 1 0 |
| 3.283 | 27.2 | 100 | 1 1 2 |
| 3.211 | 27.8 | 48 | 2 0 0 |
| 2.661 | 33.7 | 39 | 2 0 2 |
| 2.376 | 37.9 | 21 | 0 0 4 |
| 2.271 | 39.7 | 35 | 2 2 0 |
| 1.910 | 47.6 | 20 | 2 0 4 |
| 1.868 | 48.8 | 35 | 3 1 2 |
| 1.642 | 56.0 | 23 | 2 2 4 |
| 1.249 | 76.2 | 10 | 3 1 6 |
| 1.229 | 77.7 | 11 | 4 2 4 |
| 1.217 | 78.6 | 10 | 5 1 2 |

What is the formula in the third record? Li3Mn2FeB3O9